Structure and computed XRD peak list of LiVPO4 (a DFT-relaxed cell (PBE+U, Alexandria); Cu Kα (λ = 1.5418 Å)).
No peak broadening, texture or thermal motion is included.

Main lines, in order of rising 2θ (2θ from 10° to 80°):
2θ/deg	d [Å]	I/Imax
19.89	4.464	100
24.39	3.650	26
29.66	3.012	64
30.99	2.886	30
33.56	2.670	98
35.42	2.534	43
40.40	2.232	32
51.74	1.767	51

```
LiVPO4
1.0
0.0000 5.7716 4.7122
2.8204 0.0000 4.7122
2.8204 5.7716 0.0000
Li V P O
2 2 2 8
direct
0.0000 0.0000 0.0000
0.2500 0.2500 0.2500
0.3721 0.3721 0.6279
0.6221 0.6221 0.8779
0.6840 0.6840 0.3160
0.9340 0.9340 0.5660
0.0186 0.5396 0.1262
0.0554 0.6024 0.5944
0.1238 0.9344 0.2314
0.5022 0.6556 0.6476
0.5396 0.0186 0.3156
0.6024 0.0554 0.7478
0.6556 0.5022 0.1946
0.9344 0.1238 0.7104
```